(1)
Starting from a structure optimized by DFT (GGA-PBE), the PXRD pattern of BeMo4Cl was calculated for λ = 1.5418 Å (Cu Kα).
Kinematic intensities with the Lorentz-polarization factor, no thermal factor.

Principal peaks in the range 2θ from 10° to 80°, low angle first:
20.76 deg, I = 100
24.01 deg, I = 1
34.22 deg, I = 3
40.36 deg, I = 95
42.24 deg, I = 84
49.17 deg, I = 32
53.93 deg, I = 22
55.44 deg, I = 1
61.27 deg, I = 1
65.44 deg, I = 29
72.09 deg, I = 30
75.96 deg, I = 16

Crystal structure
a b c (Å): 5.241 5.241 5.241
angles (deg): 60.00 60.00 60.00
Fractional positions:
1 Be 0.000 0.000 0.000
2 Mo 0.377 0.377 0.377
3 Mo 0.377 0.377 0.868
4 Mo 0.377 0.868 0.377
5 Mo 0.868 0.377 0.377
6 Cl 0.750 0.750 0.750

(2)
Starting from a structure optimized by DFT (GGA-PBE), the PXRD pattern of HfZrTiTl was calculated for λ = 1.5418 Å (Cu Kα).
Kinematic intensities with the Lorentz-polarization factor, no thermal factor.

Principal peaks in the range 2θ from 10° to 80°, low angle first:
29.50 deg, I = 12
30.51 deg, I = 24
35.09 deg, I = 100
39.69 deg, I = 15
41.25 deg, I = 33
51.53 deg, I = 11
58.58 deg, I = 20
58.95 deg, I = 11
59.76 deg, I = 11
69.06 deg, I = 9
71.22 deg, I = 25
74.15 deg, I = 10

Crystal structure
a b c (Å): 3.095 3.095 9.084
angles (deg): 90.00 90.00 90.00
Fractional positions:
1 Hf 0.000 0.000 0.000
2 Zr 0.000 0.000 0.452
3 Ti 0.500 0.500 0.221
4 Tl 0.500 0.500 0.726

(3)
Starting from a structure optimized by DFT (GGA-PBE), the PXRD pattern of Er5Tm3 was calculated for λ = 1.5418 Å (Cu Kα).
Kinematic intensities with the Lorentz-polarization factor, no thermal factor.

Principal peaks in the range 2θ from 10° to 80°, low angle first:
28.88 deg, I = 24
32.40 deg, I = 24
33.21 deg, I = 100
43.95 deg, I = 15
51.18 deg, I = 20
58.31 deg, I = 20
59.84 deg, I = 3
61.89 deg, I = 22
62.38 deg, I = 16
67.83 deg, I = 3
69.71 deg, I = 4
75.35 deg, I = 3

Crystal structure
a b c (Å): 3.570 5.527 12.364
angles (deg): 90.00 90.00 90.00
Fractional positions:
1 Er 0.000 0.000 0.000
2 Er 0.000 0.000 0.498
3 Er 0.000 0.500 0.832
4 Er 0.500 0.000 0.749
5 Er 0.500 0.500 0.581
6 Tm 0.000 0.500 0.331
7 Tm 0.500 0.000 0.249
8 Tm 0.500 0.500 0.083

(4)
Starting from a structure optimized by DFT (GGA-PBE), the PXRD pattern of Yb4Mg3H14 was calculated for λ = 1.5418 Å (Cu Kα).
Kinematic intensities with the Lorentz-polarization factor, no thermal factor.

Principal peaks in the range 2θ from 10° to 80°, low angle first:
13.15 deg, I = 40
16.68 deg, I = 18
29.09 deg, I = 94
31.46 deg, I = 100
32.05 deg, I = 56
43.38 deg, I = 31
51.57 deg, I = 22
53.08 deg, I = 46
53.46 deg, I = 21
60.31 deg, I = 15
63.00 deg, I = 21
69.62 deg, I = 22

Crystal structure
a b c (Å): 6.139 6.139 6.731
angles (deg): 90.00 90.00 120.00
Fractional positions:
1 Yb 0.000 0.000 0.234
2 Yb 0.000 0.000 0.766
3 Yb 0.333 0.667 0.000
4 Yb 0.667 0.333 0.000
5 Mg 0.000 0.562 0.500
6 Mg 0.438 0.438 0.500
7 Mg 0.562 0.000 0.500
8 H 0.000 0.227 0.500
9 H 0.000 0.264 0.000
10 H 0.000 0.617 0.216
11 H 0.000 0.617 0.784
12 H 0.227 0.000 0.500
13 H 0.264 0.000 0.000
14 H 0.333 0.667 0.500
15 H 0.383 0.383 0.216
16 H 0.383 0.383 0.784
17 H 0.617 0.000 0.216
18 H 0.617 0.000 0.784
19 H 0.667 0.333 0.500
20 H 0.736 0.736 0.000
21 H 0.773 0.773 0.500

(5)
Starting from a structure optimized by DFT (GGA-PBE), the PXRD pattern of Tb2PmSm9 was calculated for λ = 1.5418 Å (Cu Kα).
Kinematic intensities with the Lorentz-polarization factor, no thermal factor.

Principal peaks in the range 2θ from 10° to 80°, low angle first:
30.27 deg, I = 100
35.09 deg, I = 51
50.47 deg, I = 36
59.99 deg, I = 43
62.95 deg, I = 12
74.15 deg, I = 6

Crystal structure
a b c (Å): 5.115 5.115 15.345
angles (deg): 90.00 90.00 90.00
Fractional positions:
1 Tb 0.000 0.000 0.166
2 Tb 0.000 0.000 0.834
3 Pm 0.000 0.000 0.500
4 Sm 0.000 0.500 0.000
5 Sm 0.000 0.500 0.332
6 Sm 0.000 0.500 0.668
7 Sm 0.500 0.000 0.000
8 Sm 0.500 0.000 0.332
9 Sm 0.500 0.000 0.668
10 Sm 0.500 0.500 0.166
11 Sm 0.500 0.500 0.500
12 Sm 0.500 0.500 0.834

(6)
Starting from a structure optimized by DFT (GGA-PBE), the PXRD pattern of Pr8GaOs2 was calculated for λ = 1.5418 Å (Cu Kα).
Kinematic intensities with the Lorentz-polarization factor, no thermal factor.

Principal peaks in the range 2θ from 10° to 80°, low angle first:
15.99 deg, I = 50
24.22 deg, I = 42
28.81 deg, I = 46
29.00 deg, I = 53
31.19 deg, I = 100
31.62 deg, I = 83
32.14 deg, I = 39
33.63 deg, I = 60
35.03 deg, I = 67
36.68 deg, I = 65
37.60 deg, I = 51
43.31 deg, I = 47

Crystal structure
a b c (Å): 8.088 8.088 5.711
angles (deg): 97.77 97.77 111.90
Fractional positions:
1 Pr 0.000 0.000 0.000
2 Pr 0.052 0.311 0.619
3 Pr 0.134 0.620 0.200
4 Pr 0.311 0.052 0.619
5 Pr 0.443 0.702 0.781
6 Pr 0.620 0.134 0.200
7 Pr 0.702 0.443 0.781
8 Pr 0.754 0.754 0.401
9 Ga 0.377 0.377 0.202
10 Os 0.066 0.688 0.700
11 Os 0.688 0.066 0.700

(7)
Starting from a structure optimized by DFT (GGA-PBE), the PXRD pattern of Cs12KAg5 was calculated for λ = 1.5418 Å (Cu Kα).
Kinematic intensities with the Lorentz-polarization factor, no thermal factor.

Principal peaks in the range 2θ from 10° to 80°, low angle first:
19.95 deg, I = 23
21.27 deg, I = 34
22.61 deg, I = 100
24.11 deg, I = 57
24.25 deg, I = 55
24.64 deg, I = 44
24.96 deg, I = 30
27.12 deg, I = 21
30.78 deg, I = 26
37.41 deg, I = 28
38.92 deg, I = 24
41.69 deg, I = 32

Crystal structure
a b c (Å): 11.822 11.822 11.822
angles (deg): 112.42 109.65 106.40
Fractional positions:
1 Cs 0.003 0.197 0.805
2 Cs 0.174 0.299 0.473
3 Cs 0.174 0.701 0.874
4 Cs 0.321 0.001 0.680
5 Cs 0.321 0.641 0.320
6 Cs 0.392 0.197 0.195
7 Cs 0.608 0.803 0.805
8 Cs 0.679 0.359 0.680
9 Cs 0.679 0.999 0.320
10 Cs 0.826 0.299 0.126
11 Cs 0.826 0.701 0.527
12 Cs 0.997 0.803 0.195
13 K 0.500 0.500 0.000
14 Ag 0.000 0.000 0.000
15 Ag 0.102 0.602 0.500
16 Ag 0.393 0.000 0.393
17 Ag 0.607 0.000 0.607
18 Ag 0.898 0.398 0.500

(8)
Starting from a structure optimized by DFT (GGA-PBE), the PXRD pattern of Na3MgAg3Cl8 was calculated for λ = 1.5418 Å (Cu Kα).
Kinematic intensities with the Lorentz-polarization factor, no thermal factor.

Principal peaks in the range 2θ from 10° to 80°, low angle first:
13.63 deg, I = 82
26.01 deg, I = 17
26.46 deg, I = 25
31.45 deg, I = 52
32.03 deg, I = 100
34.76 deg, I = 17
41.92 deg, I = 14
45.44 deg, I = 34
45.58 deg, I = 33
45.71 deg, I = 16
46.15 deg, I = 16
56.92 deg, I = 16

Crystal structure
a b c (Å): 7.962 7.962 7.940
angles (deg): 119.71 119.71 59.21
Fractional positions:
1 Na 0.000 0.000 0.000
2 Na 0.000 0.500 0.500
3 Na 0.500 0.000 0.500
4 Mg 0.000 0.000 0.500
5 Ag 0.000 0.500 0.000
6 Ag 0.500 0.000 0.000
7 Ag 0.500 0.500 0.500
8 Cl 0.225 0.225 0.727
9 Cl 0.227 0.769 0.723
10 Cl 0.231 0.773 0.277
11 Cl 0.248 0.248 0.243
12 Cl 0.752 0.752 0.757
13 Cl 0.769 0.227 0.723
14 Cl 0.773 0.231 0.277
15 Cl 0.775 0.775 0.273